Diffraction record for ZrCd3. The powder diffractogram is computed, not measured: it uses a crystal structure in Alexandria, relaxed with GGA-PBE and Cu Kα (weighted mean of Kα1 and Kα2).

Largest 6 diffraction maxima, low angle first, 2θ from 10° to 90°:
2θ 31.5, I 28; 2θ 35.4, I 100; 2θ 38.9, I 63; 2θ 58.7, I 22; 2θ 61.1, I 32; 2θ 77.1, I 19

Cell and atoms:
```
8
Lattice="5.6719 0.0000 0.0000 0.0000 5.6719 0.0000 0.0000 0.0000 5.6719" Properties=species:S:1:pos:R:3 pbc="T T T"
Zr 0.0000 0.0000 0.0000
Zr 2.8359 2.8359 2.8359
Cd 0.0000 1.4180 2.8359
Cd 0.0000 4.2539 2.8359
Cd 1.4180 2.8359 0.0000
Cd 2.8359 0.0000 1.4180
Cd 2.8359 0.0000 4.2539
Cd 4.2539 2.8359 0.0000
```